Entry 1:
Nd5Zr3Ni16As12: theoretical powder XRD pattern (Cu Kα X-rays), based on DFT lattice parameters and positions (PBE).
No peak broadening, texture or thermal motion is included.

Main lines, in order of rising 2θ (10° ≤ 2θ ≤ 90°):
hkl  d/Å  Rel. int.
3 0 1  2.725  30
2 2 1  2.509  100
3 1 1  2.448  67
4 1 0  2.431  27
0 0 2  2.005  43
5 1 0  2.001  16
6 0 0  1.857  27
4 3 1  1.666  21
4 1 2  1.547  16
6 0 2  1.362  19

```
data_Nd5Zr3Ni16As12
_chemical_formula_sum 'Nd5 Zr3 Ni16 As12'
_symmetry_space_group_name_H-M 'P -6 2 m'
_symmetry_Int_Tables_number 189
_symmetry_space_group_name_Hall 'P -6 -2'
_cell_length_a 12.8623
_cell_length_b 12.8623
_cell_length_c 4.0110
_cell_angle_alpha 90.00
_cell_angle_beta 90.00
_cell_angle_gamma 120.00
loop_
_atom_site_label
_atom_site_type_symbol
_atom_site_fract_x
_atom_site_fract_y
_atom_site_fract_z
Nd1 Nd 0.0000 0.1883 0.0000
Nd2 Nd 0.3333 0.6667 0.5000
Zr1 Zr 0.0000 0.5701 0.5000
Ni1 Ni 0.0000 0.0000 0.5000
Ni2 Ni 0.0000 0.7249 0.0000
Ni3 Ni 0.1190 0.4861 0.0000
Ni4 Ni 0.1868 0.8077 0.5000
As1 As 0.0000 0.3634 0.5000
As2 As 0.0000 0.8202 0.5000
As3 As 0.1722 0.6978 0.0000
```



Entry 2:
Nd2YNpAs4: theoretical powder XRD pattern (Cu Kα X-rays), based on DFT lattice parameters and positions (PBE).
No peak broadening, texture or thermal motion is included.

Main lines, in order of rising 2θ (10° ≤ 2θ ≤ 90°):
hkl  d/Å  Rel. int.
0 0 2  3.422  20
1 1 1  2.963  100
2 0 2  2.097  37
0 2 0  2.094  38
4 0 0  1.713  13
2 2 -2  1.709  13
2 2 2  1.483  8
3 1 3  1.327  11
4 2 0  1.325  22
3 3 -1  1.209  15

```
data_Nd2YNpAs4
_chemical_formula_sum 'Nd2 Y1 Np1 As4'
_symmetry_space_group_name_H-M 'P 1 2/m 1'
_symmetry_Int_Tables_number 10
_cell_length_a 7.253
_cell_length_b 4.187
_cell_length_c 7.263
_cell_angle_alpha 90.00
_cell_angle_beta 109.30
_cell_angle_gamma 90.00
loop_
_symmetry_equiv_pos_as_xyz
'x,y,z'
'-x,-y,-z'
'-x,y,-z'
'x,-y,z'
loop_
_atom_site_label
_atom_site_type_symbol
_atom_site_fract_x
_atom_site_fract_y
_atom_site_fract_z
Nd1 Nd 0.000 0.000 0.000
Nd2 Nd 0.500 0.500 0.000
Y1 Y 0.000 0.500 0.500
Np1 Np 0.500 0.000 0.500
As1 As 0.249 0.000 0.739
As2 As 0.256 0.500 0.262
```



Entry 3:
Nd2As4O9: theoretical powder XRD pattern (Cu Kα X-rays), based on DFT lattice parameters and positions (PBE).
No peak broadening, texture or thermal motion is included.

Main lines, in order of rising 2θ (10° ≤ 2θ ≤ 90°):
hkl  d/Å  Rel. int.
1 -2 1  3.464  25
0 2 1  3.279  100
2 0 0  3.239  91
1 0 -3  3.225  77
0 0 3  3.168  25
1 -2 2  2.931  55
-2 2 1  2.856  34
1 2 -2  2.800  38
1 0 3  2.575  28
2 2 1  1.983  26

```
data_Nd2As4O9
_chemical_formula_sum 'Nd4 As8 O18'
_symmetry_space_group_name_H-M 'P -1'
_symmetry_Int_Tables_number 2
_cell_length_a 6.975
_cell_length_b 7.780
_cell_length_c 9.944
_cell_angle_alpha 95.30
_cell_angle_beta 104.27
_cell_angle_gamma 104.67
loop_
_symmetry_equiv_pos_as_xyz
'x,y,z'
'-x,-y,-z'
loop_
_atom_site_label
_atom_site_type_symbol
_atom_site_fract_x
_atom_site_fract_y
_atom_site_fract_z
Nd1 Nd 0.219 0.032 0.406
Nd2 Nd 0.249 0.560 0.383
As1 As 0.177 0.280 0.071
As2 As 0.250 0.418 0.709
As3 As 0.308 0.847 0.701
As4 As 0.321 0.744 0.086
O1 O 0.001 0.727 0.331
O2 O 0.104 0.814 0.985
O3 O 0.128 0.957 0.624
O4 O 0.136 0.601 0.640
O5 O 0.183 0.521 0.122
O6 O 0.222 0.254 0.250
O7 O 0.345 0.370 0.560
O8 O 0.360 0.845 0.259
O9 O 0.409 0.833 0.550
```



Entry 4:
Nd2AsO5: theoretical powder XRD pattern (Cu Kα X-rays), based on DFT lattice parameters and positions (PBE).
No peak broadening, texture or thermal motion is included.

Main lines, in order of rising 2θ (10° ≤ 2θ ≤ 90°):
hkl  d/Å  Rel. int.
1 1 0  5.838  16
1 0 -2  3.344  62
3 0 0  3.124  53
1 2 1  3.100  100
2 0 2  2.786  26
2 2 -1  2.716  43
0 2 3  1.994  37
4 2 1  1.899  26
0 4 0  1.866  16
3 2 3  1.663  16

```
data_Nd2AsO5
_chemical_formula_sum 'Nd8 As4 O20'
_symmetry_space_group_name_H-M 'P 1 21/c 1'
_symmetry_Int_Tables_number 14
_cell_length_a 9.376
_cell_length_b 7.462
_cell_length_c 7.082
_cell_angle_alpha 90.00
_cell_angle_beta 91.67
_cell_angle_gamma 90.00
loop_
_symmetry_equiv_pos_as_xyz
'x,y,z'
'-x,-y,-z'
'-x,y+1/2,-z+1/2'
'x,-y+1/2,z+1/2'
loop_
_atom_site_label
_atom_site_type_symbol
_atom_site_fract_x
_atom_site_fract_y
_atom_site_fract_z
Nd1 Nd 0.024 0.120 0.228
Nd2 Nd 0.348 0.144 0.928
As1 As 0.313 0.606 0.920
O1 O 0.097 0.124 0.908
O2 O 0.122 0.640 0.938
O3 O 0.277 0.103 0.242
O4 O 0.352 0.048 0.604
O5 O 0.395 0.679 0.500
```